Structure and simulated powder diffractogram of KGa6Pt4 (the GGA-PBE geometry in Alexandria; Cu Ka).

Main lines, sorted by position (2θ from 5° to 70°):
2θ/deg  d [Å]  I_rel
16.2  5.486  100
26.5  3.360  85
31.2  2.870  29
37.8  2.381  19
41.3  2.184  63
41.5  2.178  100
42.5  2.129  52
42.7  2.118  50
49.8  1.832  17
64.2  1.450  35

```
data_KGa6Pt4
_cell_length_a 6.711
_cell_length_b 6.711
_cell_length_c 6.711
_cell_angle_alpha 119.77
_cell_angle_beta 119.77
_cell_angle_gamma 90.40
_symmetry_space_group_name_H-M 'P 1'
_symmetry_Int_Tables_number 1
_symmetry_space_group_name_Hall 'P 1'
loop_
_atom_site_label
_atom_site_fract_x
_atom_site_fract_y
_atom_site_fract_z
_atom_site_occupancy
K1 0.000 0.000 0.000 1
Ga1 0.000 0.500 0.500 1
Ga2 0.119 0.119 0.643 1
Ga3 0.476 0.476 0.357 1
Ga4 0.500 0.000 0.500 1
Ga5 0.524 0.881 0.000 1
Ga6 0.881 0.524 0.000 1
Pt1 0.240 0.583 0.000 1
Pt2 0.417 0.417 0.657 1
Pt3 0.583 0.240 0.000 1
Pt4 0.760 0.760 0.343 1
```

***

Structure and simulated powder diffractogram of Ac2Pm3Au4 (the GGA-PBE geometry in Alexandria; Cu Ka).

Main lines, sorted by position (2θ from 5° to 70°):
2θ/deg  d [Å]  I_rel
21.6  4.119  19
28.3  3.152  41
29.2  3.062  32
30.2  2.958  66
30.7  2.908  25
31.7  2.820  100
32.7  2.735  78
35.4  2.534  32
35.7  2.517  49
47.9  1.899  19

```
data_Ac2Pm3Au4
_cell_length_a 8.087
_cell_length_b 7.931
_cell_length_c 8.744
_cell_angle_alpha 90.00
_cell_angle_beta 109.96
_cell_angle_gamma 90.00
_symmetry_space_group_name_H-M 'P 1'
_symmetry_Int_Tables_number 1
_symmetry_space_group_name_Hall 'P 1'
loop_
_atom_site_label
_atom_site_fract_x
_atom_site_fract_y
_atom_site_fract_z
_atom_site_occupancy
Ac1 0.195 0.171 0.094 1
Ac2 0.195 0.329 0.594 1
Ac3 0.805 0.671 0.406 1
Ac4 0.805 0.829 0.906 1
Pm1 0.244 0.650 0.252 1
Pm2 0.244 0.850 0.752 1
Pm3 0.500 0.000 0.500 1
Pm4 0.500 0.500 0.000 1
Pm5 0.756 0.150 0.248 1
Pm6 0.756 0.350 0.748 1
Au1 0.099 0.546 0.881 1
Au2 0.099 0.954 0.381 1
Au3 0.487 0.634 0.623 1
Au4 0.487 0.866 0.123 1
Au5 0.513 0.134 0.877 1
Au6 0.513 0.366 0.377 1
Au7 0.901 0.046 0.619 1
Au8 0.901 0.454 0.119 1
```